1.
Theoretical powder diffractogram
Compound: Sb3Br2F16
Radiation: Cu Kα
Structure: a DFT-relaxed cell (PBE, Alexandria)
No peak broadening, texture or thermal motion is included.

Crystal structure
a b c (Å): 13.616 7.863 14.803
angles (deg): 90.00 95.25 90.00
Space group C2/c (No. 15)
Symmetry-distinct sites (fractional):
1 Sb 0.130 0.140 0.122 x8
2 Sb 0.250 0.250 0.500 x4
3 Br 0.070 0.333 0.795 x8
4 F 0.009 0.019 0.121 x8
5 F 0.081 0.264 0.017 x8
6 F 0.099 0.308 0.206 x8
7 F 0.145 0.337 0.420 x8
8 F 0.166 0.045 0.524 x8
9 F 0.188 0.015 0.709 x8
10 F 0.200 0.367 0.598 x8
11 F 0.240 0.275 0.891 x8

The 8 most intense peaks (2θ from 10° to 90°), low angle first:
d [Å]  Rel. int.  hkl
5.117  42  1 1 -2
4.777  65  2 0 2
4.073  100  1 1 -3
3.928  23  0 2 0
3.864  67  3 1 -1
3.799  32  0 2 1
2.280  17  2 2 -5
2.179  16  2 2 5

2.
Theoretical powder diffractogram
Compound: Si2BrF
Radiation: Cu Kα
Structure: a DFT-relaxed cell (PBE, Alexandria)
No peak broadening, texture or thermal motion is included.

Crystal structure
a b c (Å): 4.412 4.412 16.200
angles (deg): 90.00 90.00 90.00
Space group I-42d (No. 122)
Symmetry-distinct sites (fractional):
1 Si 0.128 0.250 0.125 x8
2 Br 0.000 0.000 0.500 x4
3 F 0.000 0.000 0.000 x4

The 8 most intense peaks (2θ from 10° to 90°), low angle first:
d [Å]  Rel. int.  hkl
3.417  51  1 0 3
2.912  100  1 1 2
2.612  25  1 0 5
2.042  34  1 1 6
2.025  17  0 0 8
1.959  25  2 1 1
1.937  41  2 0 4
1.375  15  3 1 2